This entry pairs a crystal structure of HoAl7Fe5 with its simulated powder diffractogram. Radiation: Cu Kα (weighted mean of Kα1 and Kα2). Structure: a structure optimized by DFT (PBE).
Peak positions follow from Bragg's law for the DFT cell and can differ from measured ones.

Main lines, sorted by position (5 to 70 degrees two-theta):
- 14.51 deg, intensity 47
- 20.48 deg, intensity 30
- 29.21 deg, intensity 87
- 32.80 deg, intensity 22
- 35.98 deg, intensity 34
- 41.64 deg, intensity 78
- 41.79 deg, intensity 100
- 41.91 deg, intensity 30
- 46.89 deg, intensity 18
- 60.53 deg, intensity 32

Structural model:
```
data_HoAl7Fe5
_cell_length_a 6.6014
_cell_length_b 6.6014
_cell_length_c 6.6014
_cell_angle_alpha 135.35
_cell_angle_beta 98.14
_cell_angle_gamma 98.46
_space_group_name_H-M_alt 'P 1'
_space_group_IT_number 1
loop_
_space_group_symop_operation_xyz
'x,y,z'
loop_
_atom_site_label
_atom_site_fract_x
_atom_site_fract_y
_atom_site_fract_z
Ho1 0.0000 0.0000 0.0000
Al1 0.2114 0.4999 0.7115
Al2 0.2293 0.7293 0.5000
Al3 0.3448 0.3448 0.0000
Al4 0.3554 0.0126 0.3428
Al5 0.6658 0.6658 0.0000
Al6 0.6698 0.0126 0.6572
Al7 0.7884 0.4999 0.2885
Fe1 0.0064 0.0040 0.4987
Fe2 0.0064 0.5077 0.0024
Fe3 0.5053 0.0040 0.9976
Fe4 0.5053 0.5077 0.5013
Fe5 0.7705 0.2705 0.5000
```